Simulated PXRD pattern of Sc4GaOs2 for CuKα, from a PBE-relaxed structure.
Neutral-atom scattering factors, no anomalous dispersion.

Peak list (6 most intense, 2θ = 10–90°, in order of rising 2θ)
2θ (°)	I_rel
23.74	81
27.67	44
39.12	100
39.94	87
57.14	30
71.43	30

Atomic structure:
Lattice parameters (Å, degrees): 7.771 7.771 7.771 34.48 34.48 34.48
Positions (direct):
Sc (0.116, 0.116, 0.116)
Sc (0.369, 0.369, 0.369)
Sc (0.631, 0.631, 0.631)
Sc (0.884, 0.884, 0.884)
Ga (0.500, 0.500, 0.500)
Os (0.245, 0.245, 0.245)
Os (0.755, 0.755, 0.755)